Record 1
The following is a calculated X-ray powder pattern of Ba2CdTe2O6. It was derived from DFT lattice parameters and positions (PBE), using Cu Kα (weighted mean of Kα1 and Kα2).
No peak broadening, texture or thermal motion is included.

Structural model:
```
data_Ba2CdTe2O6
_space_group_name_H-M_alt 'C 1 2/m 1'
_space_group_IT_number 12
_cell_length_a 10.8524
_cell_length_b 6.7133
_cell_length_c 6.6180
_cell_angle_alpha 90.00
_cell_angle_beta 117.23
_cell_angle_gamma 90.00
loop_
_space_group_symop_operation_xyz
'x,y,z'
'-x,-y,-z'
'-x,y,-z'
'x,-y,z'
'x+1/2,y+1/2,z'
'-x+1/2,-y+1/2,-z'
'-x+1/2,y+1/2,-z'
'x+1/2,-y+1/2,z'
loop_
_atom_site_label
_atom_site_type_symbol
_atom_site_fract_x
_atom_site_fract_y
_atom_site_fract_z
_atom_site_occupancy
Ba1 Ba 0.1876 0.0000 0.1196 1
Cd1 Cd 0.0000 0.0000 0.5000 1
Te1 Te 0.0762 0.5000 0.2578 1
O1 O 0.0075 0.2111 0.2266 1
O2 O 0.2482 0.5000 0.2290 1
```

Principal peaks in the range 15° ≤ 2θ ≤ 90°, low angle first:
- 2θ = 26.56°, rel. 64.9, hkl 0 2 0
- 2θ = 28.13°, rel. 100.0, hkl 3 1 -1
- 2θ = 28.80°, rel. 51.1, hkl 2 0 1
- 2θ = 30.47°, rel. 88.4, hkl 1 1 -2
- 2θ = 39.57°, rel. 44.0, hkl 2 2 1
- 2θ = 44.23°, rel. 20.6, hkl 4 0 -3
- 2θ = 47.86°, rel. 24.5, hkl 3 3 -1
- 2θ = 49.12°, rel. 20.1, hkl 5 1 0
- 2θ = 49.39°, rel. 25.3, hkl 1 3 -2
- 2θ = 52.32°, rel. 16.1, hkl 4 2 -3

Record 2
The following is a calculated X-ray powder pattern of Ba2TiCdO5. It was derived from DFT lattice parameters and positions (PBE), using Cu Kα (weighted mean of Kα1 and Kα2).
No peak broadening, texture or thermal motion is included.

Structural model:
```
data_Ba2TiCdO5
_space_group_name_H-M_alt 'C m c 21'
_space_group_IT_number 36
_cell_length_a 3.6331
_cell_length_b 14.4931
_cell_length_c 11.3014
_cell_angle_alpha 90.00
_cell_angle_beta 90.00
_cell_angle_gamma 90.00
loop_
_space_group_symop_operation_xyz
'x,y,z'
'-x,-y,z+1/2'
'-x,y,z'
'x,-y,z+1/2'
'x+1/2,y+1/2,z'
'-x+1/2,-y+1/2,z+1/2'
'-x+1/2,y+1/2,z'
'x+1/2,-y+1/2,z+1/2'
loop_
_atom_site_label
_atom_site_type_symbol
_atom_site_fract_x
_atom_site_fract_y
_atom_site_fract_z
_atom_site_occupancy
Ba1 Ba 0.0000 0.1033 0.0000 1
Ba2 Ba 0.0000 0.1592 0.6330 1
Ti1 Ti 0.0000 0.4780 0.7624 1
Cd1 Cd 0.0000 0.2009 0.3436 1
O1 O 0.0000 0.0382 0.3223 1
O2 O 0.0000 0.2816 0.9739 1
O3 O 0.0000 0.3375 0.7135 1
O4 O 0.0000 0.3958 0.3199 1
O5 O 0.0000 0.4872 0.1095 1
```

Principal peaks in the range 15° ≤ 2θ ≤ 90°, low angle first:
- 2θ = 25.82°, rel. 42.7, hkl 0 4 1
- 2θ = 26.67°, rel. 80.5, hkl 0 2 3
- 2θ = 29.28°, rel. 24.8, hkl 0 4 2
- 2θ = 29.88°, rel. 27.3, hkl 1 1 2
- 2θ = 30.79°, rel. 57.6, hkl 1 3 0
- 2θ = 31.82°, rel. 26.1, hkl 1 3 1
- 2θ = 34.86°, rel. 100.0, hkl 1 1 3
- 2θ = 38.10°, rel. 22.5, hkl 0 6 1
- 2θ = 40.61°, rel. 24.1, hkl 0 6 2
- 2θ = 51.71°, rel. 29.0, hkl 1 5 4